Diffraction record for CsLi3I4. The XRD peak list is simulated, not measured: it uses a cell relaxed with PBE and copper Kα.
Intensities are scaled so that the largest is 100.

Most intense lines, 5° ≤ 2θ ≤ 70°, low angle first:
2theta  Rel. int.  (hkl)
20.4  47  2 1 0
22.3  44  0 0 2
22.7  32  0 2 0
23.3  87  2 1 1
24.2  32  1 2 0
25.3  48  0 2 1
26.4  100  1 1 2
28.0  67  3 0 1
28.1  42  2 0 2
50.6  32  5 1 2

a b c (Å): 10.455 7.850 7.988
angles (deg): 90.00 90.00 90.00
Space group Pmn2_1 (No. 31)
One atom of each set of equivalent atoms:
Cs1 0.000 0.228 0.000
Li1 0.000 0.793 0.496
Li2 0.247 0.325 0.480
I1 0.000 0.149 0.470
I2 0.000 0.751 0.845
I3 0.195 0.628 0.316



Diffraction record for ErTmBeCd. The XRD peak list is simulated, not measured: it uses a cell relaxed with PBE and copper Kα.
Intensities are scaled so that the largest is 100.

Most intense lines, 5° ≤ 2θ ≤ 70°, low angle first:
2theta  Rel. int.  (hkl)
21.6  14  1 1 1
25.0  27  2 0 0
35.7  100  2 2 0
42.1  7  3 1 1
44.0  8  2 2 2
51.3  18  4 0 0
56.3  3  3 3 1
57.9  11  4 2 0
64.1  36  4 2 2
68.5  2  5 1 1

a b c (Å): 7.121 7.121 7.121
angles (deg): 90.00 90.00 90.00
Space group F-43m (No. 216)
One atom of each set of equivalent atoms:
Er1 0.000 0.000 0.000
Tm1 0.000 0.000 0.500
Be1 0.250 0.250 0.250
Cd1 0.250 0.250 0.750



Diffraction record for Rb3MgSc3Te8. The XRD peak list is simulated, not measured: it uses a cell relaxed with PBE and copper Kα.
Intensities are scaled so that the largest is 100.

Most intense lines, 5° ≤ 2θ ≤ 70°, low angle first:
2theta  Rel. int.  (hkl)
10.0  15  0 0 1
25.4  15  2 2 0
28.0  100  4 0 0
29.7  15  2 2 1
30.3  15  0 0 3
34.2  15  2 2 -3
36.6  18  2 2 2
42.9  12  0 4 0
43.3  23  6 2 -2
52.1  11  4 4 0

a b c (Å): 14.451 8.428 10.048
angles (deg): 90.00 118.36 90.00
Space group C2/m (No. 12)
One atom of each set of equivalent atoms:
Rb1 0.000 0.000 0.000
Rb2 0.250 0.250 0.000
Mg1 0.000 0.000 0.500
Sc1 0.000 0.500 0.500
Sc2 0.250 0.250 0.500
Te1 0.022 0.259 0.308
Te2 0.231 0.500 0.692
Te3 0.236 0.000 0.692



Diffraction record for Ca2HgPd9. The XRD peak list is simulated, not measured: it uses a cell relaxed with PBE and copper Kα.
Intensities are scaled so that the largest is 100.

Most intense lines, 5° ≤ 2θ ≤ 70°, low angle first:
2theta  Rel. int.  (hkl)
7.1  19  0 0 1
14.2  5  0 0 2
22.9  6  1 0 1
26.1  4  1 0 2
31.8  2  1 1 1
38.0  100  1 1 3
43.6  17  0 0 6
44.4  32  2 0 0
64.0  21  2 0 6
64.6  10  2 2 0

a b c (Å): 4.081 4.081 12.446
angles (deg): 90.00 90.00 90.00
Space group P4/mmm (No. 123)
One atom of each set of equivalent atoms:
Ca1 0.000 0.000 0.169
Hg1 0.000 0.000 0.500
Pd1 0.000 0.500 0.000
Pd2 0.000 0.500 0.338
Pd3 0.500 0.500 0.167
Pd4 0.500 0.500 0.500